# Nd5SmY2Ho
Theoretical powder X-ray diffraction pattern, CuKα. Input: a GGA-PBE-relaxed structure.
Peak positions follow from Bragg's law for the DFT cell and can differ from measured ones.

Largest 10 diffraction maxima, low angle first, 15 to 90 degrees two-theta:
2θ = 27.40°, rel. 16
2θ = 29.79°, rel. 32
2θ = 31.42°, rel. 38
2θ = 31.64°, rel. 100
2θ = 33.36°, rel. 13
2θ = 42.17°, rel. 10
2θ = 46.48°, rel. 10
2θ = 56.07°, rel. 20
2θ = 58.11°, rel. 12
2θ = 60.39°, rel. 11

Atomic structure:
Cell lengths 5.695, 20.493, 10.744 Å; angles 90.00, 90.00, 90.00 degrees
Space group Cmc2_1 (No. 36)
Symmetry-distinct sites (fractional):
Nd: 0.000 0.017 0.000 x4
Nd: 0.000 0.282 0.288 x4
Nd: 0.000 0.296 0.682 x4
Nd: 0.000 0.392 0.003 x4
Nd: 0.000 0.480 0.722 x4
Sm: 0.000 0.202 0.988 x4
Y: 0.000 0.111 0.716 x4
Y: 0.000 0.117 0.296 x4
Ho: 0.000 0.410 0.439 x4



# Pb5Br
Theoretical powder X-ray diffraction pattern, CuKα. Input: a GGA-PBE-relaxed structure.
Peak positions follow from Bragg's law for the DFT cell and can differ from measured ones.

Largest 10 diffraction maxima, low angle first, 15 to 90 degrees two-theta:
2θ = 16.40°, rel. 18
2θ = 28.00°, rel. 24
2θ = 28.80°, rel. 19
2θ = 30.42°, rel. 100
2θ = 30.95°, rel. 29
2θ = 34.05°, rel. 23
2θ = 35.11°, rel. 24
2θ = 35.29°, rel. 27
2θ = 37.62°, rel. 20
2θ = 38.91°, rel. 33

Atomic structure:
Cell lengths 11.601, 3.591, 10.261 Å; angles 90.00, 111.31, 90.00 degrees
Space group Cm (No. 8)
Symmetry-distinct sites (fractional):
Pb: 0.000 0.000 0.000 x2
Pb: 0.005 0.500 0.285 x2
Pb: 0.148 0.000 0.584 x2
Pb: 0.311 0.500 0.404 x2
Pb: 0.455 0.000 0.703 x2
Br: 0.242 0.500 0.000 x2